Theoretical PXRD pattern
Compound: La4Ni3WO12
Radiation: Cu Kα (λ = 1.5418 Å)
Structure: a GGA+U-relaxed structure
Peak positions follow from Bragg's law for the DFT cell and can differ from measured ones.

```
data_La4Ni3WO12
_symmetry_space_group_name_H-M 'P 4/m m m'
_symmetry_Int_Tables_number 123
_symmetry_space_group_name_Hall '-P 4 2'
_cell_length_a 5.5652
_cell_length_b 5.5652
_cell_length_c 8.0858
_cell_angle_alpha 90.00
_cell_angle_beta 90.00
_cell_angle_gamma 90.00
loop_
_atom_site_label
_atom_site_type_symbol
_atom_site_fract_x
_atom_site_fract_y
_atom_site_fract_z
La1 La 0.0000 0.5000 0.2186
Ni1 Ni 0.0000 0.0000 0.0000
Ni2 Ni 0.0000 0.0000 0.5000
Ni3 Ni 0.5000 0.5000 0.0000
W1 W 0.5000 0.5000 0.5000
O1 O 0.0000 0.0000 0.2517
O2 O 0.2522 0.2522 0.0000
O3 O 0.2572 0.2572 0.5000
O4 O 0.5000 0.5000 0.2569
```

Main lines, sorted by position (10 to 90 degrees two-theta):
25.17°, rel. 14, (1 1 1)
31.73°, rel. 100, (1 1 2)
32.17°, rel. 53, (2 0 0)
44.84°, rel. 13, (0 0 4)
46.13°, rel. 32, (2 2 0)
56.25°, rel. 15, (2 0 4)
57.08°, rel. 38, (3 1 2)
66.29°, rel. 15, (2 2 4)
67.30°, rel. 10, (4 0 0)
76.56°, rel. 9, (4 2 0)